(1)
For Pr2Er5Sc2, a cell relaxed with GGA-PBE gives the simulated powder diffraction line list in this record (CuKα).
Kinematic intensities with the Lorentz-polarization factor, no thermal factor.

Crystal structure
```
data_Pr2Er5Sc2
_chemical_formula_sum 'Pr2 Er5 Sc2'
_space_group_name_H-M_alt 'P -1'
_space_group_IT_number 2
_space_group_name_Hall '-P 1'
_cell_length_a 6.057
_cell_length_b 6.061
_cell_length_c 9.248
_cell_angle_alpha 90.09
_cell_angle_beta 109.08
_cell_angle_gamma 119.85
loop_
_atom_site_label
_atom_site_type_symbol
_atom_site_fract_x
_atom_site_fract_y
_atom_site_fract_z
_atom_site_occupancy
Pr1 Pr 0.164 0.336 0.000 1
Er1 Er 0.061 0.113 0.339 1
Er2 Er 0.276 0.557 0.661 1
Er3 Er 0.500 0.000 0.000 1
Sc1 Sc 0.395 0.784 0.341 1
```

The 8 most intense peaks (5° ≤ 2θ ≤ 70°), sorted by position:
- 31.31°, intensity 1000, (2 -1 0)
- 36.31°, intensity 501, (1 1 1)
- 52.22°, intensity 119, (3 0 -2)
- 52.33°, intensity 239, (-3 3 1)
- 62.14°, intensity 139, (2 2 -1)
- 62.24°, intensity 206, (-4 2 3)
- 62.32°, intensity 68, (-3 3 4)
- 65.36°, intensity 89, (-2 4 2)

(2)
For Tb3InRh4, a cell relaxed with GGA-PBE gives the simulated powder diffraction line list in this record (CuKα).
Kinematic intensities with the Lorentz-polarization factor, no thermal factor.

Crystal structure
```
data_Tb3InRh4
_chemical_formula_sum 'Tb3 In1 Rh4'
_space_group_name_H-M_alt 'P 4/m m m'
_space_group_IT_number 123
_space_group_name_Hall '-P 4 2'
_cell_length_a 4.758
_cell_length_b 4.758
_cell_length_c 6.848
_cell_angle_alpha 90.00
_cell_angle_beta 90.00
_cell_angle_gamma 90.00
loop_
_atom_site_label
_atom_site_type_symbol
_atom_site_fract_x
_atom_site_fract_y
_atom_site_fract_z
_atom_site_occupancy
Tb1 Tb 0.000 0.000 0.000 1
Tb2 Tb 0.000 0.000 0.500 1
Tb3 Tb 0.500 0.500 0.000 1
In1 In 0.500 0.500 0.500 1
Rh1 Rh 0.000 0.500 0.252 1
```

The 8 most intense peaks (5° ≤ 2θ ≤ 70°), sorted by position:
- 26.02°, intensity 17, (0 0 2)
- 26.50°, intensity 32, (1 1 0)
- 37.48°, intensity 1000, (1 1 2)
- 37.82°, intensity 488, (2 0 0)
- 53.52°, intensity 89, (0 0 4)
- 54.56°, intensity 167, (2 2 0)
- 67.39°, intensity 175, (2 0 4)
- 68.07°, intensity 341, (3 1 2)

(3)
For La2PmNd2Cd, a cell relaxed with GGA-PBE gives the simulated powder diffraction line list in this record (CuKα).
Kinematic intensities with the Lorentz-polarization factor, no thermal factor.

Crystal structure
```
data_La2PmNd2Cd
_chemical_formula_sum 'La4 Pm2 Nd4 Cd2'
_space_group_name_H-M_alt 'P n n m'
_space_group_IT_number 58
_space_group_name_Hall '-P 2 2n'
_cell_length_a 6.720
_cell_length_b 10.222
_cell_length_c 5.855
_cell_angle_alpha 90.00
_cell_angle_beta 90.00
_cell_angle_gamma 90.00
loop_
_atom_site_label
_atom_site_type_symbol
_atom_site_fract_x
_atom_site_fract_y
_atom_site_fract_z
_atom_site_occupancy
La1 La 0.203 0.137 0.000 1
Pm1 Pm 0.000 0.500 0.000 1
Nd1 Nd 0.202 0.296 0.500 1
Cd1 Cd 0.000 0.000 0.500 1
```

The 8 most intense peaks (5° ≤ 2θ ≤ 70°), sorted by position:
- 27.95°, intensity 151, (2 1 0)
- 30.35°, intensity 827, (0 3 1)
- 30.53°, intensity 545, (0 0 2)
- 31.91°, intensity 1000, (2 2 0)
- 33.21°, intensity 261, (1 3 1)
- 44.72°, intensity 274, (2 2 2)
- 54.15°, intensity 161, (0 3 3)
- 55.16°, intensity 136, (2 1 3)

(4)
For Y2H2Pt3, a cell relaxed with GGA-PBE gives the simulated powder diffraction line list in this record (CuKα).
Kinematic intensities with the Lorentz-polarization factor, no thermal factor.

Crystal structure
```
data_Y2H2Pt3
_chemical_formula_sum 'Y2 H2 Pt3'
_space_group_name_H-M_alt 'P 1 2/m 1'
_space_group_IT_number 10
_space_group_name_Hall '-P 2y'
_cell_length_a 4.511
_cell_length_b 3.635
_cell_length_c 7.029
_cell_angle_alpha 90.00
_cell_angle_beta 94.14
_cell_angle_gamma 90.00
loop_
_atom_site_label
_atom_site_type_symbol
_atom_site_fract_x
_atom_site_fract_y
_atom_site_fract_z
_atom_site_occupancy
Y1 Y 0.222 0.000 0.277 1
H1 H 0.149 0.500 0.859 1
Pt1 Pt 0.267 0.500 0.623 1
Pt2 Pt 0.500 0.500 0.000 1
```

The 8 most intense peaks (5° ≤ 2θ ≤ 70°), sorted by position:
- 24.49°, intensity 480, (0 1 0)
- 33.52°, intensity 411, (1 0 2)
- 33.64°, intensity 1000, (1 1 -1)
- 35.58°, intensity 331, (0 1 2)
- 41.25°, intensity 292, (2 0 -1)
- 41.95°, intensity 552, (1 1 2)
- 42.28°, intensity 306, (1 0 -3)
- 50.20°, intensity 434, (0 2 0)

(5)
For FePbI4, a cell relaxed with GGA-PBE gives the simulated powder diffraction line list in this record (CuKα).
Kinematic intensities with the Lorentz-polarization factor, no thermal factor.

Crystal structure
```
data_FePbI4
_chemical_formula_sum 'Fe2 Pb2 I8'
_space_group_name_H-M_alt 'I -4'
_space_group_IT_number 82
_space_group_name_Hall 'I -4'
_cell_length_a 6.919
_cell_length_b 6.919
_cell_length_c 12.505
_cell_angle_alpha 90.00
_cell_angle_beta 90.00
_cell_angle_gamma 90.00
loop_
_atom_site_label
_atom_site_type_symbol
_atom_site_fract_x
_atom_site_fract_y
_atom_site_fract_z
_atom_site_occupancy
Fe1 Fe 0.000 0.000 0.000 1
Pb1 Pb 0.000 0.500 0.750 1
I1 I 0.202 0.243 0.115 1
```

The 8 most intense peaks (5° ≤ 2θ ≤ 70°), sorted by position:
- 14.63°, intensity 391, (1 0 1)
- 23.08°, intensity 1000, (1 1 2)
- 24.94°, intensity 180, (1 0 3)
- 29.75°, intensity 287, (1 2 1)
- 36.74°, intensity 230, (2 2 0)
- 38.83°, intensity 433, (2 0 4)
- 43.84°, intensity 269, (1 3 2)
- 47.41°, intensity 131, (1 1 6)

(6)
For Be2AlRe2, a cell relaxed with GGA-PBE gives the simulated powder diffraction line list in this record (CuKα).
Kinematic intensities with the Lorentz-polarization factor, no thermal factor.

Crystal structure
```
data_Be2AlRe2
_chemical_formula_sum 'Be4 Al2 Re4'
_space_group_name_H-M_alt 'P 4/m b m'
_space_group_IT_number 127
_space_group_name_Hall '-P 4 2ab'
_cell_length_a 5.981
_cell_length_b 5.981
_cell_length_c 3.196
_cell_angle_alpha 90.00
_cell_angle_beta 90.00
_cell_angle_gamma 90.00
loop_
_atom_site_label
_atom_site_type_symbol
_atom_site_fract_x
_atom_site_fract_y
_atom_site_fract_z
_atom_site_occupancy
Be1 Be 0.119 0.381 0.000 1
Al1 Al 0.000 0.000 0.000 1
Re1 Re 0.175 0.675 0.500 1
```

The 8 most intense peaks (5° ≤ 2θ ≤ 70°), sorted by position:
- 27.92°, intensity 610, (0 0 1)
- 29.88°, intensity 340, (2 0 0)
- 33.50°, intensity 940, (2 1 0)
- 41.35°, intensity 482, (2 0 1)
- 44.16°, intensity 1000, (2 1 1)
- 48.11°, intensity 203, (3 1 0)
- 64.21°, intensity 219, (4 1 0)
- 68.39°, intensity 245, (2 1 2)

(7)
For Ac3YTm3Se8, a cell relaxed with GGA-PBE gives the simulated powder diffraction line list in this record (CuKα).
Kinematic intensities with the Lorentz-polarization factor, no thermal factor.

Crystal structure
```
data_Ac3YTm3Se8
_chemical_formula_sum 'Ac9 Y3 Tm9 Se24'
_space_group_name_H-M_alt 'R -3 m'
_space_group_IT_number 166
_space_group_name_Hall '-R 3 2"'
_cell_length_a 8.2898
_cell_length_b 8.2898
_cell_length_c 21.3886
_cell_angle_alpha 90.00
_cell_angle_beta 90.00
_cell_angle_gamma 120.00
loop_
_atom_site_label
_atom_site_type_symbol
_atom_site_fract_x
_atom_site_fract_y
_atom_site_fract_z
_atom_site_occupancy
Ac1 Ac 0.0000 0.5000 0.0000 1
Y1 Y 0.0000 0.0000 0.5000 1
Tm1 Tm 0.0000 0.5000 0.5000 1
Se1 Se 0.0000 0.0000 0.2388 1
Se2 Se 0.0096 0.5048 0.7586 1
```

The 8 most intense peaks (5° ≤ 2θ ≤ 70°), sorted by position:
- 14.86°, intensity 129, (0 1 2)
- 26.19°, intensity 151, (2 0 2)
- 29.98°, intensity 1000, (0 2 4)
- 42.14°, intensity 376, (2 0 8)
- 43.68°, intensity 364, (2 2 0)
- 53.88°, intensity 193, (4 0 4)
- 62.31°, intensity 118, (0 4 8)
- 69.57°, intensity 156, (2 2 12)

(8)
For Li3B8C8, a cell relaxed with GGA-PBE gives the simulated powder diffraction line list in this record (CuKα).
Kinematic intensities with the Lorentz-polarization factor, no thermal factor.

Crystal structure
```
data_Li3B8C8
_chemical_formula_sum 'Li3 B8 C8'
_space_group_name_H-M_alt 'P 1 m 1'
_space_group_IT_number 6
_space_group_name_Hall 'P -2y'
_cell_length_a 4.752
_cell_length_b 2.738
_cell_length_c 12.491
_cell_angle_alpha 90.00
_cell_angle_beta 94.29
_cell_angle_gamma 90.00
loop_
_atom_site_label
_atom_site_type_symbol
_atom_site_fract_x
_atom_site_fract_y
_atom_site_fract_z
_atom_site_occupancy
Li1 Li 0.000 0.000 0.000 1
Li2 Li 0.055 0.000 0.275 1
Li3 Li 0.449 0.500 0.729 1
B1 B 0.111 0.500 0.849 1
B2 B 0.240 0.500 0.435 1
B3 B 0.272 0.000 0.569 1
B4 B 0.372 0.000 0.146 1
B5 B 0.615 0.000 0.864 1
B6 B 0.736 0.000 0.431 1
B7 B 0.776 0.500 0.571 1
B8 B 0.862 0.500 0.146 1
C1 C 0.104 0.500 0.567 1
C2 C 0.196 0.500 0.147 1
C3 C 0.284 0.000 0.849 1
C4 C 0.409 0.000 0.437 1
C5 C 0.606 0.000 0.570 1
C6 C 0.698 0.000 0.148 1
C7 C 0.786 0.500 0.861 1
C8 C 0.906 0.500 0.432 1
```

The 8 most intense peaks (5° ≤ 2θ ≤ 70°), sorted by position:
- 7.10°, intensity 788, (0 0 1)
- 14.22°, intensity 299, (0 0 2)
- 21.40°, intensity 1000, (0 0 3)
- 28.67°, intensity 224, (0 0 4)
- 37.96°, intensity 176, (1 1 0)
- 44.72°, intensity 115, (1 1 3)
- 51.35°, intensity 179, (0 0 7)
- 68.54°, intensity 152, (0 2 0)

(9)
For Rb2CeZn2Se4, a cell relaxed with GGA-PBE gives the simulated powder diffraction line list in this record (CuKα).
Kinematic intensities with the Lorentz-polarization factor, no thermal factor.

Crystal structure
```
data_Rb2CeZn2Se4
_chemical_formula_sum 'Rb4 Ce2 Zn4 Se8'
_space_group_name_H-M_alt 'C 1 2/m 1'
_space_group_IT_number 12
_space_group_name_Hall '-C 2y'
_cell_length_a 15.859
_cell_length_b 4.426
_cell_length_c 8.223
_cell_angle_alpha 90.00
_cell_angle_beta 109.25
_cell_angle_gamma 90.00
loop_
_atom_site_label
_atom_site_type_symbol
_atom_site_fract_x
_atom_site_fract_y
_atom_site_fract_z
_atom_site_occupancy
Rb1 Rb 0.132 0.000 0.059 1
Ce1 Ce 0.000 0.000 0.500 1
Zn1 Zn 0.172 0.500 0.492 1
Se1 Se 0.021 0.500 0.263 1
Se2 Se 0.204 0.000 0.661 1
```

The 8 most intense peaks (5° ≤ 2θ ≤ 70°), sorted by position:
- 11.40°, intensity 557, (0 0 1)
- 26.87°, intensity 279, (3 1 -1)
- 29.71°, intensity 1000, (1 1 -2)
- 31.44°, intensity 286, (3 1 -2)
- 31.61°, intensity 335, (3 1 1)
- 34.84°, intensity 225, (5 1 -1)
- 40.78°, intensity 312, (0 2 0)
- 49.20°, intensity 265, (3 1 3)

(10)
For LaMg3Hg9, a cell relaxed with GGA-PBE gives the simulated powder diffraction line list in this record (CuKα).
Kinematic intensities with the Lorentz-polarization factor, no thermal factor.

Crystal structure
```
data_LaMg3Hg9
_chemical_formula_sum 'La2 Mg6 Hg18'
_space_group_name_H-M_alt 'C 1 2/m 1'
_space_group_IT_number 12
_space_group_name_Hall '-C 2y'
_cell_length_a 6.199
_cell_length_b 14.279
_cell_length_c 7.627
_cell_angle_alpha 90.00
_cell_angle_beta 113.98
_cell_angle_gamma 90.00
loop_
_atom_site_label
_atom_site_type_symbol
_atom_site_fract_x
_atom_site_fract_y
_atom_site_fract_z
_atom_site_occupancy
La1 La 0.000 0.000 0.000 1
Mg1 Mg 0.000 0.500 0.500 1
Mg2 Mg 0.250 0.250 0.000 1
Hg1 Hg 0.000 0.000 0.500 1
Hg2 Hg 0.086 0.391 0.214 1
Hg3 Hg 0.165 0.174 0.334 1
```

The 8 most intense peaks (5° ≤ 2θ ≤ 70°), sorted by position:
- 28.80°, intensity 804, (2 0 -1)
- 30.51°, intensity 838, (1 3 -2)
- 34.06°, intensity 475, (2 2 0)
- 35.19°, intensity 1000, (1 5 0)
- 35.88°, intensity 796, (1 1 2)
- 36.02°, intensity 642, (0 4 2)
- 38.46°, intensity 467, (2 4 -1)
- 38.89°, intensity 544, (2 0 -3)

(11)
For AgHg3H4, a cell relaxed with GGA-PBE gives the simulated powder diffraction line list in this record (CuKα).
Kinematic intensities with the Lorentz-polarization factor, no thermal factor.

Crystal structure
```
data_AgHg3H4
_chemical_formula_sum 'Ag1 Hg3 H4'
_space_group_name_H-M_alt 'P -1'
_space_group_IT_number 2
_space_group_name_Hall '-P 1'
_cell_length_a 3.211
_cell_length_b 4.952
_cell_length_c 10.241
_cell_angle_alpha 103.81
_cell_angle_beta 98.90
_cell_angle_gamma 90.06
loop_
_atom_site_label
_atom_site_type_symbol
_atom_site_fract_x
_atom_site_fract_y
_atom_site_fract_z
_atom_site_occupancy
Ag1 Ag 0.000 0.000 0.000 1
Hg1 Hg 0.190 0.192 0.381 1
Hg2 Hg 0.500 0.500 0.000 1
H1 H 0.104 0.107 0.208 1
H2 H 0.277 0.277 0.555 1
```

The 8 most intense peaks (5° ≤ 2θ ≤ 70°), sorted by position:
- 18.07°, intensity 506, (0 0 2)
- 22.52°, intensity 998, (0 1 -2)
- 27.25°, intensity 495, (0 0 3)
- 31.02°, intensity 460, (1 0 1)
- 33.25°, intensity 1000, (1 1 -1)
- 36.29°, intensity 396, (0 2 -1)
- 43.48°, intensity 430, (1 -1 3)
- 58.10°, intensity 250, (-1 1 5)

(12)
For BaMg2In6, a cell relaxed with GGA-PBE gives the simulated powder diffraction line list in this record (CuKα).
Kinematic intensities with the Lorentz-polarization factor, no thermal factor.

Crystal structure
```
data_BaMg2In6
_chemical_formula_sum 'Ba1 Mg2 In6'
_space_group_name_H-M_alt 'P 6/m m m'
_space_group_IT_number 191
_space_group_name_Hall '-P 6 2'
_cell_length_a 9.2222
_cell_length_b 9.2222
_cell_length_c 3.3522
_cell_angle_alpha 90.00
_cell_angle_beta 90.00
_cell_angle_gamma 120.00
loop_
_atom_site_label
_atom_site_type_symbol
_atom_site_fract_x
_atom_site_fract_y
_atom_site_fract_z
_atom_site_occupancy
Ba1 Ba 0.0000 0.0000 0.0000 1
Mg1 Mg 0.3333 0.6667 0.0000 1
In1 In 0.0000 0.3431 0.5000 1
```

The 8 most intense peaks (5° ≤ 2θ ≤ 70°), sorted by position:
- 26.59°, intensity 215, (0 0 1)
- 33.04°, intensity 776, (1 1 1)
- 33.67°, intensity 1000, (3 0 0)
- 43.41°, intensity 331, (3 0 1)
- 47.89°, intensity 263, (2 2 1)
- 59.81°, intensity 275, (4 1 1)
- 60.21°, intensity 173, (3 3 0)
- 65.85°, intensity 272, (3 0 2)